Calculated powder diffraction line list of AlV7Ga3 for Cu Ka, from a cell relaxed with GGA-PBE.
Lines closer than 0.1° are merged.

Structure:
a b c (Å): 2.577 19.971 12.674
angles (deg): 90.00 90.00 90.00
Space group Cmcm (No. 63)
Symmetry-distinct sites (fractional):
Al1 0.000 0.016 0.250 x4
V1 0.000 0.280 0.587 x8
V2 0.000 0.390 0.250 x4
V3 0.000 0.408 0.596 x8
V4 0.000 0.465 0.084 x8
Ga1 0.000 0.152 0.571 x8
Ga2 0.000 0.163 0.250 x4

Main lines, sorted by position (2θ = 15–90°):
2theta  d_spacing  intensity  h k l
17.8  4.993  17  0 4 0
41.3  2.187  81  1 1 3
42.0  2.149  100  0 8 3
42.8  2.112  49  0 0 6
47.2  1.927  23  1 5 3
47.5  1.913  27  1 7 0
54.6  1.682  14  1 9 0
65.9  1.418  18  1 7 6
71.8  1.315  14  1 9 6
88.5  1.105  21  2 8 3